Diffraction record for LuSi2Pd2. The powder diffractogram is simulated, not measured: it uses DFT lattice parameters and positions (PBE) and CuKα.
Intensities are scaled so that the largest is 100.

Structural model:
```
LuSi2Pd2
1.0
-2.0599 2.0599 4.9813
2.0599 -2.0599 4.9813
2.0599 2.0599 -4.9813
Lu Si Pd
1 2 2
Direct
0.0000 0.0000 0.0000 Lu
0.3851 0.3851 0.0000 Si
0.6149 0.6149 0.0000 Si
0.2500 0.7500 0.5000 Pd
0.7500 0.2500 0.5000 Pd
```

Principal peaks in the range 2θ = 15–90°, in order of rising 2θ:
- 3.807 Å, I 30
- 2.585 Å, I 29
- 2.515 Å, I 100
- 2.491 Å, I 17
- 2.060 Å, I 35
- 1.794 Å, I 12
- 1.611 Å, I 14
- 1.587 Å, I 17
- 1.443 Å, I 15
- 1.260 Å, I 22

Diffraction record for LuSnPd. The powder diffractogram is simulated, not measured: it uses DFT lattice parameters and positions (PBE) and CuKα.
Intensities are scaled so that the largest is 100.

Structural model:
```
LuSnPd
1.0
7.6182 0.0000 0.0000
-3.8091 6.5975 0.0000
0.0000 0.0000 3.7925
Lu Sn Pd
3 3 3
Direct
0.0000 0.5994 0.0000 Lu
0.4006 0.4006 0.0000 Lu
0.5994 0.0000 0.0000 Lu
0.0000 0.2648 0.5000 Sn
0.2648 0.0000 0.5000 Sn
0.7352 0.7352 0.5000 Sn
0.0000 0.0000 0.0000 Pd
0.3333 0.6667 0.5000 Pd
0.6667 0.3333 0.5000 Pd
```

Principal peaks in the range 2θ = 15–90°, in order of rising 2θ:
- 2.688 Å, I 90
- 2.491 Å, I 100
- 2.199 Å, I 37
- 2.084 Å, I 16
- 1.896 Å, I 18
- 1.648 Å, I 14
- 1.509 Å, I 16
- 1.436 Å, I 19
- 1.406 Å, I 27
- 1.246 Å, I 16

Repeat the first record exactly.
Diffraction record for LuSi2Pd2. The powder diffractogram is simulated, not measured: it uses DFT lattice parameters and positions (PBE) and CuKα.
Intensities are scaled so that the largest is 100.

Structural model:
```
LuSi2Pd2
1.0
-2.0599 2.0599 4.9813
2.0599 -2.0599 4.9813
2.0599 2.0599 -4.9813
Lu Si Pd
1 2 2
Direct
0.0000 0.0000 0.0000 Lu
0.3851 0.3851 0.0000 Si
0.6149 0.6149 0.0000 Si
0.2500 0.7500 0.5000 Pd
0.7500 0.2500 0.5000 Pd
```

Principal peaks in the range 2θ = 15–90°, in order of rising 2θ:
- 3.807 Å, I 30
- 2.585 Å, I 29
- 2.515 Å, I 100
- 2.491 Å, I 17
- 2.060 Å, I 35
- 1.794 Å, I 12
- 1.611 Å, I 14
- 1.587 Å, I 17
- 1.443 Å, I 15
- 1.260 Å, I 22